1.
The following is a computed powder diffractogram of BaNdZn4. It was derived from a crystal structure in Alexandria, relaxed with PBE, using Cu Kα.
Intensities are scaled so that the largest is 100.

Principal peaks in the range 10° ≤ 2θ ≤ 90°, most intense first:
- 2θ 32.1, intensity 100
- 2θ 31.4, intensity 61
- 2θ 37.4, intensity 57
- 2θ 51.0, intensity 31
- 2θ 39.1, intensity 28
- 2θ 61.7, intensity 25

Structure:
Cell: 3.8535 4.6034 8.4464 Å, 90.00 90.00 90.00°
Fractional positions:
Ba1 0.0000 0.0000 0.0000
Nd1 0.0000 0.5000 0.5000
Zn1 0.5000 0.0000 0.3481
Zn2 0.5000 0.0000 0.6519
Zn3 0.5000 0.5000 0.1971
Zn4 0.5000 0.5000 0.8029

---

2.
The following is a computed powder diffractogram of Sr8Li2Mg. It was derived from a crystal structure in Alexandria, relaxed with PBE, using Cu Kα.
Intensities are scaled so that the largest is 100.

Principal peaks in the range 10° ≤ 2θ ≤ 90°, most intense first:
- 2θ 28.1, intensity 100
- 2θ 29.7, intensity 32
- 2θ 22.0, intensity 29
- 2θ 27.8, intensity 28
- 2θ 26.6, intensity 26
- 2θ 51.7, intensity 18

Structure:
Cell: 10.0950 10.0950 10.0950 Å, 145.28 118.81 72.31°
Fractional positions:
Sr1 0.1237 0.3423 0.7814
Sr2 0.1328 0.1328 0.0000
Sr3 0.3161 0.0000 0.3161
Sr4 0.4391 0.6577 0.7814
Sr5 0.5609 0.3423 0.2186
Sr6 0.6839 0.0000 0.6839
Sr7 0.8672 0.8672 0.0000
Sr8 0.8763 0.6577 0.2186
Li1 0.3008 0.8008 0.5000
Li2 0.6992 0.1992 0.5000
Mg1 0.0000 0.5000 0.5000

---

3.
The following is a computed powder diffractogram of F. It was derived from a crystal structure in Alexandria, relaxed with PBE, using Cu Kα.
Intensities are scaled so that the largest is 100.

Principal peaks in the range 10° ≤ 2θ ≤ 90°, most intense first:
- 2θ 36.5, intensity 100
- 2θ 30.5, intensity 88
- 2θ 33.4, intensity 82
- 2θ 42.9, intensity 31
- 2θ 35.7, intensity 17
- 2θ 29.1, intensity 15

Structure:
Cell: 5.8625 6.6822 6.1332 Å, 90.00 90.00 90.00°
Fractional positions:
F1 0.1330 0.1821 0.1134
F2 0.1330 0.3179 0.6134
F3 0.1342 0.0594 0.3042
F4 0.1342 0.4406 0.8042
F5 0.3658 0.5594 0.3042
F6 0.3658 0.9406 0.8042
F7 0.3670 0.6821 0.1134
F8 0.3670 0.8179 0.6134
F9 0.6330 0.1821 0.3866
F10 0.6330 0.3179 0.8866
F11 0.6342 0.0594 0.1958
F12 0.6342 0.4406 0.6958
F13 0.8658 0.5594 0.1958
F14 0.8658 0.9406 0.6958
F15 0.8670 0.6821 0.3866
F16 0.8670 0.8179 0.8866

---

4.
The following is a computed powder diffractogram of LaPrNd5Tm2. It was derived from a crystal structure in Alexandria, relaxed with PBE, using Cu Kα.
Intensities are scaled so that the largest is 100.

Principal peaks in the range 10° ≤ 2θ ≤ 90°, most intense first:
- 2θ 31.6, intensity 100
- 2θ 31.2, intensity 45
- 2θ 29.7, intensity 44
- 2θ 55.8, intensity 22
- 2θ 27.5, intensity 20
- 2θ 58.3, intensity 14

Structure:
Cell: 10.5931 10.5931 10.7732 Å, 90.00 90.00 148.59°
Fractional positions:
La1 0.0828 0.9172 0.5000
La2 0.9172 0.0828 0.0000
Pr1 0.2988 0.7012 0.0638
Pr2 0.7012 0.2988 0.5638
Nd1 0.0236 0.9764 0.7932
Nd2 0.1102 0.8898 0.0810
Nd3 0.2053 0.7947 0.7569
Nd4 0.2184 0.7816 0.3639
Nd5 0.4835 0.5165 0.0797
Nd6 0.5165 0.4835 0.5797
Nd7 0.7816 0.2184 0.8639
Nd8 0.7947 0.2053 0.2569
Nd9 0.8898 0.1102 0.5810
Nd10 0.9764 0.0236 0.2932
Tm1 0.3831 0.6169 0.3769
Tm2 0.3888 0.6112 0.7880
Tm3 0.6112 0.3888 0.2880
Tm4 0.6169 0.3831 0.8769

---

5.
The following is a computed powder diffractogram of Ac3I3N. It was derived from a crystal structure in Alexandria, relaxed with PBE, using Cu Kα.
Intensities are scaled so that the largest is 100.

Principal peaks in the range 10° ≤ 2θ ≤ 90°, most intense first:
- 2θ 28.6, intensity 100
- 2θ 28.5, intensity 41
- 2θ 30.3, intensity 30
- 2θ 27.7, intensity 29
- 2θ 40.0, intensity 24
- 2θ 41.6, intensity 22

Structure:
Cell: 9.4271 4.1701 12.5628 Å, 90.00 93.40 90.00°
Fractional positions:
Ac1 0.0870 0.2500 0.3997
Ac2 0.1145 0.2500 0.8233
Ac3 0.3025 0.7500 0.6169
Ac4 0.6975 0.2500 0.3831
Ac5 0.8855 0.7500 0.1767
Ac6 0.9130 0.7500 0.6003
I1 0.1519 0.2500 0.1202
I2 0.3856 0.7500 0.8783
I3 0.3865 0.7500 0.3599
I4 0.6135 0.2500 0.6401
I5 0.6144 0.2500 0.1217
I6 0.8481 0.7500 0.8798
N1 0.1190 0.2500 0.6146
N2 0.8810 0.7500 0.3854

---

6.
The following is a computed powder diffractogram of NaLa2Pu3Te6. It was derived from a crystal structure in Alexandria, relaxed with PBE, using Cu Kα.
Intensities are scaled so that the largest is 100.

Principal peaks in the range 10° ≤ 2θ ≤ 90°, most intense first:
- 2θ 27.9, intensity 100
- 2θ 39.8, intensity 39
- 2θ 40.1, intensity 38
- 2θ 49.6, intensity 21
- 2θ 65.5, intensity 18
- 2θ 11.9, intensity 14

Structure:
Cell: 10.1090 10.1090 9.0712 Å, 103.42 103.42 25.71°
Fractional positions:
Na1 0.0000 0.0000 0.0000
La1 0.3346 0.3346 0.6685
La2 0.6654 0.6654 0.3315
Pu1 0.0000 0.0000 0.5000
Pu2 0.3334 0.3334 0.1667
Pu3 0.6666 0.6666 0.8333
Te1 0.1648 0.1648 0.5889
Te2 0.1677 0.1677 0.0771
Te3 0.4979 0.4979 0.2535
Te4 0.5021 0.5021 0.7465
Te5 0.8323 0.8323 0.9229
Te6 0.8352 0.8352 0.4111

---

7.
The following is a computed powder diffractogram of YPuB. It was derived from a crystal structure in Alexandria, relaxed with PBE, using Cu Kα.
Intensities are scaled so that the largest is 100.

Principal peaks in the range 10° ≤ 2θ ≤ 90°, most intense first:
- 2θ 39.3, intensity 100
- 2θ 33.9, intensity 98
- 2θ 61.2, intensity 71
- 2θ 26.6, intensity 64
- 2θ 45.5, intensity 57
- 2θ 37.1, intensity 48

Structure:
Cell: 6.9977 6.9977 4.0321 Å, 90.00 90.00 120.00°
Fractional positions:
Y1 0.0000 0.4312 0.0000
Y2 0.4312 0.0000 0.0000
Y3 0.5688 0.5688 0.0000
Pu1 0.0000 0.7660 0.5000
Pu2 0.2340 0.2340 0.5000
Pu3 0.7660 0.0000 0.5000
B1 0.0000 0.0000 0.0000
B2 0.3333 0.6667 0.5000
B3 0.6667 0.3333 0.5000

---

8.
The following is a computed powder diffractogram of MgPb2. It was derived from a crystal structure in Alexandria, relaxed with PBE, using Cu Kα.
Intensities are scaled so that the largest is 100.

Principal peaks in the range 10° ≤ 2θ ≤ 90°, most intense first:
- 2θ 32.1, intensity 100
- 2θ 26.1, intensity 58
- 2θ 36.0, intensity 39
- 2θ 62.3, intensity 31
- 2θ 54.6, intensity 19
- 2θ 67.2, intensity 18

Structure:
Cell: 7.2611 7.2611 7.2611 Å, 151.90 151.90 40.16°
Fractional positions:
Mg1 0.0000 0.0000 0.0000
Pb1 0.3463 0.3463 0.0000
Pb2 0.6537 0.6537 0.0000

---

9.
The following is a computed powder diffractogram of Ce2Mn12Si7. It was derived from a crystal structure in Alexandria, relaxed with PBE, using Cu Kα.
Intensities are scaled so that the largest is 100.

Principal peaks in the range 10° ≤ 2θ ≤ 90°, most intense first:
- 2θ 38.0, intensity 100
- 2θ 49.6, intensity 20
- 2θ 51.7, intensity 14
- 2θ 36.9, intensity 12
- 2θ 74.4, intensity 11
- 2θ 46.6, intensity 11

Structure:
Cell: 9.7324 9.7324 3.5387 Å, 90.00 90.00 120.00°
Fractional positions:
Ce1 0.0000 0.0000 0.0000
Ce2 0.3333 0.6667 0.5000
Mn1 0.0450 0.7654 0.5000
Mn2 0.1042 0.3871 0.0000
Mn3 0.2346 0.2796 0.5000
Mn4 0.2829 0.8958 0.0000
Mn5 0.3903 0.2110 0.0000
Mn6 0.5408 0.1119 0.5000
Mn7 0.5712 0.4592 0.5000
Mn8 0.6129 0.7171 0.0000
Mn9 0.7204 0.9550 0.5000
Mn10 0.7890 0.1793 0.0000
Mn11 0.8207 0.6097 0.0000
Mn12 0.8881 0.4288 0.5000
Si1 0.0680 0.6149 0.0000
Si2 0.2554 0.0389 0.5000
Si3 0.3851 0.4531 0.0000
Si4 0.5469 0.9320 0.0000
Si5 0.6667 0.3333 0.0000
Si6 0.7835 0.7446 0.5000
Si7 0.9611 0.2165 0.5000

---

10.
The following is a computed powder diffractogram of Pm2Nd5SmTh. It was derived from a crystal structure in Alexandria, relaxed with PBE, using Cu Kα.
Intensities are scaled so that the largest is 100.

Principal peaks in the range 10° ≤ 2θ ≤ 90°, most intense first:
- 2θ 31.5, intensity 100
- 2θ 29.9, intensity 43
- 2θ 31.0, intensity 42
- 2θ 55.5, intensity 22
- 2θ 27.2, intensity 19
- 2θ 60.4, intensity 14

Structure:
Cell: 10.7289 10.7289 10.6372 Å, 90.00 90.00 148.83°
Fractional positions:
Pm1 0.1152 0.8848 0.5000
Pm2 0.1160 0.8840 0.0860
Pm3 0.8840 0.1160 0.5860
Pm4 0.8848 0.1152 0.0000
Nd1 0.0155 0.9845 0.7884
Nd2 0.2758 0.7242 0.0834
Nd3 0.2945 0.7055 0.4727
Nd4 0.3874 0.6126 0.7937
Nd5 0.4800 0.5200 0.5106
Nd6 0.5200 0.4800 0.0106
Nd7 0.6126 0.3874 0.2937
Nd8 0.7055 0.2945 0.9727
Nd9 0.7242 0.2758 0.5834
Nd10 0.9845 0.0155 0.2884
Sm1 0.4076 0.5924 0.2211
Sm2 0.5924 0.4076 0.7211
Th1 0.1988 0.8012 0.7805
Th2 0.8012 0.1988 0.2805

---

11.
The following is a computed powder diffractogram of RbPPtRh. It was derived from a crystal structure in Alexandria, relaxed with PBE, using Cu Kα.
Intensities are scaled so that the largest is 100.

Principal peaks in the range 10° ≤ 2θ ≤ 90°, most intense first:
- 2θ 35.9, intensity 100
- 2θ 13.8, intensity 94
- 2θ 27.7, intensity 41
- 2θ 54.5, intensity 29
- 2θ 47.4, intensity 28
- 2θ 43.6, intensity 28

Structure:
Cell: 3.8392 3.8392 12.8738 Å, 90.00 90.00 90.00°
Fractional positions:
Rb1 0.2500 0.2500 0.2221
Rb2 0.7500 0.7500 0.7779
P1 0.2500 0.2500 0.6023
P2 0.7500 0.7500 0.3977
Pt1 0.2500 0.7500 0.0000
Pt2 0.7500 0.2500 0.0000
Rh1 0.2500 0.7500 0.5000
Rh2 0.7500 0.2500 0.5000

---

12.
The following is a computed powder diffractogram of Cd5Ge3Br16. It was derived from a crystal structure in Alexandria, relaxed with PBE, using Cu Kα.
Intensities are scaled so that the largest is 100.

Principal peaks in the range 10° ≤ 2θ ≤ 90°, most intense first:
- 2θ 28.7, intensity 100
- 2θ 14.2, intensity 63
- 2θ 44.2, intensity 61
- 2θ 32.6, intensity 53
- 2θ 32.7, intensity 52
- 2θ 28.7, intensity 45

Structure:
Cell: 8.1925 8.1925 12.9790 Å, 90.17 90.17 59.80°
Fractional positions:
Cd1 0.0000 0.0000 0.0000
Cd2 0.3380 0.8305 0.5003
Cd3 0.5024 0.5024 0.2354
Cd4 0.8305 0.3380 0.5003
Cd5 0.8352 0.8352 0.7339
Ge1 0.3393 0.3393 0.4982
Ge2 0.5087 0.9987 0.9992
Ge3 0.9987 0.5087 0.9992
Br1 0.0024 0.4989 0.6221
Br2 0.0061 0.0061 0.6219
Br3 0.1490 0.6767 0.8704
Br4 0.1654 0.1654 0.8837
Br5 0.1660 0.1660 0.3857
Br6 0.1859 0.6588 0.3721
Br7 0.3323 0.8401 0.1221
Br8 0.3358 0.3358 0.1218
Br9 0.4989 0.0024 0.6221
Br10 0.5042 0.5042 0.6224
Br11 0.6588 0.1859 0.3721
Br12 0.6587 0.6587 0.3714
Br13 0.6767 0.1490 0.8704
Br14 0.6770 0.6770 0.8722
Br15 0.8382 0.8382 0.1229
Br16 0.8401 0.3323 0.1221